Simulated X-ray diffraction stick pattern
Compound: Ho5CdAu4
Radiation: λ = 1.5418 Å (Cu Kα)
Structure: a structure optimized by DFT (GGA-PBE)
Intensities are scaled so that the largest is 1000.

Largest 10 diffraction maxima, sorted by position, 5 to 70 degrees two-theta:
2θ (°)  Rel. int.  index
9.73  17  0 0 2
14.62  9  0 0 3
35.09  1000  1 0 5
35.28  500  1 1 0
38.86  13  1 0 6
50.18  88  0 0 10
50.76  179  2 0 0
62.83  179  1 1 10
63.20  367  2 1 5
67.60  7  1 1 11

Structure:
Cell lengths 3.5973, 3.5973, 18.1795 Å; angles 90.00, 90.00, 90.00 degrees
Fractional coordinates of all 10 atoms:
Ho: 0.0000 0.0000 0.0000
Ho: 0.0000 0.0000 0.1972
Ho: 0.0000 0.0000 0.3921
Ho: 0.0000 0.0000 0.6079
Ho: 0.0000 0.0000 0.8028
Cd: 0.5000 0.5000 0.5000
Au: 0.5000 0.5000 0.0986
Au: 0.5000 0.5000 0.2980
Au: 0.5000 0.5000 0.7020
Au: 0.5000 0.5000 0.9014